Entry 1:
Structure and computed powder diffraction line list of Ba5GeBi2Br (a structure optimized by DFT (GGA-PBE); CuKα).
Intensities are scaled so that the largest is 100.

Principal peaks in the range 2θ = 15–90°, by angle:
- d = 4.823 Å, 2θ = 18.4°, I 29.0
- d = 4.256 Å, 2θ = 20.9°, I 46.1
- d = 3.420 Å, 2θ = 26.1°, I 74.5
- d = 3.341 Å, 2θ = 26.7°, I 29.7
- d = 3.138 Å, 2θ = 28.4°, I 66.9
- d = 3.068 Å, 2θ = 29.1°, I 29.8
- d = 3.015 Å, 2θ = 29.6°, I 100.0
- d = 2.895 Å, 2θ = 30.9°, I 54.6
- d = 2.128 Å, 2θ = 42.5°, I 44.8
- d = 1.447 Å, 2θ = 64.4°, I 35.5

Atomic structure:
```
data_Ba5GeBi2Br
_cell_length_a 5.7896
_cell_length_b 8.7179
_cell_length_c 18.0866
_cell_angle_alpha 90.00
_cell_angle_beta 90.00
_cell_angle_gamma 90.00
_symmetry_space_group_name_H-M 'I m m m'
_symmetry_Int_Tables_number 71
_symmetry_space_group_name_Hall '-I 2 2'
loop_
_atom_site_label
_atom_site_type_symbol
_atom_site_fract_x
_atom_site_fract_y
_atom_site_fract_z
_atom_site_occupancy
Ba1 Ba 0.0000 0.0000 0.0000 1
Ba2 Ba 0.0000 0.2626 0.3527 1
Ge1 Ge 0.0000 0.5000 0.5000 1
Bi1 Bi 0.0000 0.0000 0.2006 1
Br1 Br 0.0000 0.5000 0.0000 1
```


Entry 2:
Structure and computed powder diffraction line list of Ba6Bi2BrN (a structure optimized by DFT (GGA-PBE); CuKα).
Intensities are scaled so that the largest is 100.

Principal peaks in the range 2θ = 15–90°, by angle:
- d = 4.151 Å, 2θ = 21.4°, I 14.1
- d = 3.389 Å, 2θ = 26.3°, I 100.0
- d = 2.935 Å, 2θ = 30.5°, I 71.1
- d = 2.075 Å, 2θ = 43.6°, I 50.5
- d = 1.770 Å, 2θ = 51.6°, I 42.7
- d = 1.695 Å, 2θ = 54.1°, I 17.0
- d = 1.347 Å, 2θ = 69.8°, I 15.8
- d = 1.313 Å, 2θ = 71.9°, I 20.2
- d = 1.198 Å, 2θ = 80.1°, I 14.5
- d = 1.130 Å, 2θ = 86.0°, I 8.5

Atomic structure:
```
data_Ba6Bi2BrN
_cell_length_a 8.3032
_cell_length_b 11.7319
_cell_length_c 8.3054
_cell_angle_alpha 90.00
_cell_angle_beta 90.00
_cell_angle_gamma 90.00
_symmetry_space_group_name_H-M 'P m m n'
_symmetry_Int_Tables_number 59
loop_
_symmetry_equiv_pos_as_xyz
'x,y,z'
'-x,-y,-z'
'-x+1/2,-y+1/2,z'
'x+1/2,y+1/2,-z'
'x+1/2,-y,-z'
'-x+1/2,y,z'
'-x,y+1/2,-z'
'x,-y+1/2,z'
loop_
_atom_site_label
_atom_site_type_symbol
_atom_site_fract_x
_atom_site_fract_y
_atom_site_fract_z
_atom_site_occupancy
Ba1 Ba 0.0193 0.2500 0.0189 1
Ba2 Ba 0.0191 0.2500 0.4801 1
Ba3 Ba 0.2500 0.0194 0.2496 1
Bi1 Bi 0.2500 0.9998 0.7501 1
Br1 Br 0.2500 0.7500 0.2505 1
N1 N 0.2500 0.2500 0.2496 1
```


Entry 3:
Structure and computed powder diffraction line list of Ba5Bi2PBr (a structure optimized by DFT (GGA-PBE); CuKα).
Intensities are scaled so that the largest is 100.

Principal peaks in the range 2θ = 15–90°, by angle:
- d = 4.904 Å, 2θ = 18.1°, I 39.1
- d = 4.283 Å, 2θ = 20.7°, I 42.6
- d = 3.429 Å, 2θ = 26.0°, I 100.0
- d = 3.081 Å, 2θ = 29.0°, I 72.4
- d = 3.029 Å, 2θ = 29.5°, I 45.1
- d = 3.003 Å, 2θ = 29.8°, I 67.3
- d = 2.980 Å, 2θ = 30.0°, I 63.8
- d = 2.482 Å, 2θ = 36.2°, I 43.0
- d = 2.142 Å, 2θ = 42.2°, I 51.7
- d = 1.429 Å, 2θ = 65.3°, I 26.3

Atomic structure:
```
data_Ba5Bi2PBr
_cell_length_a 5.9591
_cell_length_b 8.6347
_cell_length_c 17.5895
_cell_angle_alpha 90.00
_cell_angle_beta 90.00
_cell_angle_gamma 90.00
_symmetry_space_group_name_H-M 'I m m m'
_symmetry_Int_Tables_number 71
_symmetry_space_group_name_Hall '-I 2 2'
loop_
_atom_site_label
_atom_site_type_symbol
_atom_site_fract_x
_atom_site_fract_y
_atom_site_fract_z
_atom_site_occupancy
Ba1 Ba 0.0000 0.0000 0.0000 1
Ba2 Ba 0.0000 0.2697 0.3559 1
Bi1 Bi 0.0000 0.0000 0.2028 1
P1 P 0.0000 0.5000 0.5000 1
Br1 Br 0.0000 0.5000 0.0000 1
```